Structure and computed powder X-ray diffraction pattern of LiMn2OF3 (a DFT-relaxed cell (GGA+U, the Materials Project); Cu Ka).
Peak positions follow from Bragg's law for the DFT cell and can differ from measured ones.

Structure:
```
LiMn2OF3
1.0
5.307 -3.184 0.000
5.307 3.184 0.000
-3.637 0.000 5.237
Li Mn O F
2 4 2 6
Cartesian
0.000 0.000 0.000 Li
-1.818 0.000 2.618 Li
2.653 1.592 0.000 Mn
1.744 0.000 2.919 Mn
2.653 -1.592 0.000 Mn
5.233 0.000 2.318 Mn
1.816 0.000 0.958 O
5.161 0.000 4.279 O
2.575 1.690 3.830 F
-0.149 0.000 3.825 F
4.402 1.690 1.407 F
2.575 -1.690 3.830 F
7.126 0.000 1.412 F
4.402 -1.690 1.407 F
```

Main lines, low angle first (5° ≤ 2θ ≤ 70°):
20.37 deg, intensity 66.2; 28.01 deg, intensity 83.5; 32.92 deg, intensity 100.0; 33.25 deg, intensity 70.5; 33.41 deg, intensity 47.7; 34.39 deg, intensity 44.3; 57.91 deg, intensity 45.6; 59.82 deg, intensity 52.3



Structure and computed powder X-ray diffraction pattern of Li2MnO2F (a DFT-relaxed cell (GGA+U, the Materials Project); Cu Ka).
Peak positions follow from Bragg's law for the DFT cell and can differ from measured ones.

Structure:
```
Li2MnO2F
1.0
2.944 -4.301 0.000
2.944 4.301 0.000
-2.866 0.000 8.869
Li Mn O F
8 4 8 4
Cartesian
0.061 1.109 3.248 Li
1.511 3.370 4.435 Li
-1.372 -1.109 7.683 Li
2.934 1.106 3.392 Li
3.013 1.057 6.207 Li
1.501 -1.106 7.827 Li
2.944 -3.370 0.000 Li
4.446 -1.057 1.772 Li
0.067 1.076 6.170 Mn
2.953 1.090 0.179 Mn
1.500 -1.076 1.735 Mn
1.520 -1.090 4.614 Mn
-1.308 1.155 7.557 O
3.069 3.025 0.330 O
0.125 -1.155 3.122 O
1.427 0.830 4.774 O
1.446 0.992 7.563 O
2.860 -0.830 0.339 O
2.879 -0.992 3.128 O
1.636 -3.025 4.765 O
1.435 1.176 1.695 F
0.002 -1.176 6.129 F
4.559 0.992 1.668 F
3.126 -0.992 6.103 F
```

Main lines, low angle first (5° ≤ 2θ ≤ 70°):
18.94 deg, intensity 100.0; 22.98 deg, intensity 21.4; 35.18 deg, intensity 17.7; 42.01 deg, intensity 33.5; 43.17 deg, intensity 32.0; 43.58 deg, intensity 30.8; 61.82 deg, intensity 16.9; 62.12 deg, intensity 18.6



Structure and computed powder X-ray diffraction pattern of Li3MnO2F2 (a DFT-relaxed cell (GGA+U, the Materials Project); Cu Ka).
Peak positions follow from Bragg's law for the DFT cell and can differ from measured ones.

Structure:
```
Li3MnO2F2
1.0
5.074 0.000 0.000
0.000 6.007 0.000
-1.463 0.000 4.843
Li Mn O F
6 2 4 4
Cartesian
-0.366 0.673 1.211 Li
-1.097 2.164 3.633 Li
-0.366 3.843 1.211 Li
-1.097 5.335 3.633 Li
2.171 2.217 1.211 Li
1.440 3.790 3.633 Li
1.440 0.654 3.633 Mn
2.171 5.353 1.211 Mn
-0.089 0.715 4.772 O
0.643 5.292 2.350 O
2.968 0.715 2.493 O
3.700 5.292 0.071 O
0.540 2.289 2.446 F
1.271 3.718 0.024 F
2.340 2.289 4.819 F
3.071 3.718 2.398 F
```

Main lines, low angle first (5° ≤ 2θ ≤ 70°):
14.75 deg, intensity 54.1; 18.27 deg, intensity 73.7; 23.57 deg, intensity 77.8; 26.46 deg, intensity 24.3; 35.16 deg, intensity 25.1; 42.44 deg, intensity 100.0; 44.55 deg, intensity 42.0; 63.14 deg, intensity 23.9



Structure and computed powder X-ray diffraction pattern of LiMnOF2 (a DFT-relaxed cell (GGA+U, the Materials Project); Cu Ka).
Peak positions follow from Bragg's law for the DFT cell and can differ from measured ones.

Structure:
```
LiMnOF2
1.0
5.390 0.000 0.000
0.000 7.093 0.000
0.000 0.000 5.551
Li Mn O F
4 4 4 8
Cartesian
0.215 1.773 0.286 Li
2.480 5.320 3.061 Li
2.910 1.773 2.489 Li
5.175 5.320 5.264 Li
0.000 0.000 2.775 Mn
0.000 3.547 2.775 Mn
2.695 0.000 0.000 Mn
2.695 3.547 0.000 Mn
0.367 5.320 3.336 O
2.328 1.773 0.561 O
3.062 5.320 4.989 O
5.023 1.773 2.214 O
0.939 3.988 0.811 F
0.939 6.652 0.811 F
1.756 0.442 3.587 F
1.756 3.105 3.587 F
3.634 3.988 1.964 F
3.634 6.652 1.964 F
4.451 0.442 4.739 F
4.451 3.105 4.739 F
```

Main lines, low angle first (5° ≤ 2θ ≤ 70°):
23.00 deg, intensity 100.0; 25.11 deg, intensity 55.6; 32.26 deg, intensity 21.9; 34.31 deg, intensity 40.7; 47.00 deg, intensity 22.3; 57.15 deg, intensity 19.0; 58.84 deg, intensity 24.9; 60.09 deg, intensity 21.8



Structure and computed powder X-ray diffraction pattern of LiMn2OF3 (a DFT-relaxed cell (GGA+U, the Materials Project); Cu Ka).
Peak positions follow from Bragg's law for the DFT cell and can differ from measured ones.

Structure:
```
LiMn2OF3
1.0
6.276 0.000 0.000
-0.001 6.278 0.000
-0.011 -0.025 8.981
Li Mn O F
4 8 4 12
Cartesian
0.000 0.000 0.000 Li
0.121 3.110 4.493 Li
1.620 1.480 6.737 Li
4.782 1.622 2.248 Li
1.589 6.107 3.465 Mn
1.633 4.776 6.595 Mn
1.794 3.077 1.224 Mn
3.097 3.121 4.344 Mn
3.278 6.251 8.841 Mn
4.615 0.023 5.705 Mn
4.782 4.603 2.096 Mn
4.816 3.264 7.958 Mn
1.589 4.481 4.565 O
2.990 0.009 6.808 O
3.410 3.088 2.323 O
4.806 4.907 0.074 O
0.047 3.047 2.366 F
0.077 0.044 6.857 F
0.175 3.078 6.678 F
1.545 4.727 8.929 F
1.554 1.566 4.612 F
1.589 1.424 8.922 F
3.146 3.030 6.679 F
3.259 0.056 2.177 F
4.802 1.661 4.431 F
4.840 4.627 4.423 F
4.849 1.541 0.121 F
6.232 0.022 2.188 F
```

Main lines, low angle first (5° ≤ 2θ ≤ 70°):
14.11 deg, intensity 28.5; 22.34 deg, intensity 35.3; 28.27 deg, intensity 52.2; 33.15 deg, intensity 49.4; 33.44 deg, intensity 100.0; 53.62 deg, intensity 30.6; 58.41 deg, intensity 28.4; 58.84 deg, intensity 28.4



Structure and computed powder X-ray diffraction pattern of LiMnOF2 (a DFT-relaxed cell (GGA+U, the Materials Project); Cu Ka).
Peak positions follow from Bragg's law for the DFT cell and can differ from measured ones.

Structure:
```
LiMnOF2
1.0
9.004 0.000 0.000
0.000 10.001 0.000
0.000 0.000 5.628
Li Mn O F
8 8 8 16
Cartesian
1.461 0.480 0.000 Li
1.643 4.394 3.276 Li
2.859 4.394 0.462 Li
3.041 0.480 2.814 Li
5.963 9.521 0.000 Li
6.145 5.607 3.276 Li
7.361 5.607 0.462 Li
7.543 9.521 2.814 Li
0.030 2.374 1.728 Mn
1.438 7.646 1.699 Mn
3.064 7.646 4.513 Mn
4.472 2.374 4.542 Mn
4.532 7.627 1.728 Mn
5.940 2.354 1.699 Mn
7.566 2.354 4.513 Mn
8.974 7.627 4.542 Mn
0.183 8.364 2.846 O
1.546 8.450 5.358 O
2.956 8.450 2.545 O
4.319 8.364 0.032 O
4.685 1.636 2.846 O
6.048 1.551 5.358 O
7.458 1.551 2.545 O
8.821 1.636 0.032 O
0.053 3.301 3.555 F
1.381 3.804 1.427 F
1.572 1.017 1.849 F
1.717 6.255 3.724 F
2.785 6.255 0.910 F
2.929 1.017 4.663 F
3.120 3.804 4.241 F
4.449 3.301 0.742 F
4.555 6.700 3.555 F
5.883 6.196 1.427 F
6.074 8.983 1.849 F
6.219 3.746 3.724 F
7.287 3.746 0.910 F
7.431 8.983 4.663 F
7.622 6.196 4.241 F
8.951 6.700 0.742 F
```

Main lines, low angle first (5° ≤ 2θ ≤ 70°):
13.23 deg, intensity 62.4; 17.74 deg, intensity 100.0; 20.62 deg, intensity 21.0; 25.34 deg, intensity 26.7; 36.65 deg, intensity 19.3; 43.65 deg, intensity 52.1; 57.77 deg, intensity 19.3; 58.78 deg, intensity 17.7



Structure and computed powder X-ray diffraction pattern of Li2MnO2F (a DFT-relaxed cell (GGA+U, the Materials Project); Cu Ka).
Peak positions follow from Bragg's law for the DFT cell and can differ from measured ones.

Structure:
```
Li2MnO2F
1.0
2.872 0.000 0.000
1.423 2.686 0.000
0.020 0.947 14.522
Li Mn O F
4 2 4 2
Cartesian
0.000 0.000 0.000 Li
0.010 0.473 7.261 Li
1.393 0.999 2.332 Li
2.923 2.634 12.191 Li
1.472 1.552 9.725 Mn
2.843 2.081 4.798 Mn
1.398 2.774 3.654 O
1.416 1.387 5.941 O
2.899 2.246 8.581 O
2.918 0.859 10.868 O
1.472 1.800 13.358 F
2.844 1.833 1.165 F
```

Main lines, low angle first (5° ≤ 2θ ≤ 70°):
6.09 deg, intensity 100.0; 12.19 deg, intensity 34.4; 18.33 deg, intensity 59.7; 33.60 deg, intensity 13.9; 40.51 deg, intensity 32.4; 44.14 deg, intensity 24.4; 44.33 deg, intensity 24.3; 61.98 deg, intensity 15.7



Structure and computed powder X-ray diffraction pattern of LiMn3O4F2 (a DFT-relaxed cell (GGA+U, the Materials Project); Cu Ka).
Peak positions follow from Bragg's law for the DFT cell and can differ from measured ones.

Structure:
```
LiMn3O4F2
1.0
5.085 0.000 0.000
-2.432 4.596 0.000
-0.371 -2.713 4.685
Li Mn O F
1 3 4 2
Cartesian
0.000 0.000 0.000 Li
-0.036 0.277 3.890 Mn
0.109 3.270 2.182 Mn
2.586 1.766 1.845 Mn
0.788 -1.417 2.934 O
0.884 1.751 3.077 O
1.560 3.076 0.812 O
3.378 0.416 2.943 O
-0.749 1.783 0.523 F
1.804 0.087 0.832 F
```

Main lines, low angle first (5° ≤ 2θ ≤ 70°):
18.94 deg, intensity 87.8; 20.85 deg, intensity 75.5; 23.27 deg, intensity 71.7; 24.90 deg, intensity 68.7; 31.12 deg, intensity 100.0; 32.68 deg, intensity 83.1; 33.27 deg, intensity 67.5; 34.71 deg, intensity 68.4



Structure and computed powder X-ray diffraction pattern of Li6Mn2O5F2 (a DFT-relaxed cell (GGA+U, the Materials Project); Cu Ka).
Peak positions follow from Bragg's law for the DFT cell and can differ from measured ones.

Structure:
```
Li6Mn2O5F2
1.0
5.123 0.000 0.000
0.000 6.019 0.000
-3.076 0.000 9.531
Li Mn O F
12 4 10 4
Cartesian
0.000 0.054 0.000 Li
-1.538 5.964 4.766 Li
1.849 0.192 2.785 Li
0.311 5.826 7.550 Li
1.955 2.836 2.620 Li
0.417 3.183 7.386 Li
1.410 1.586 4.872 Li
2.948 4.432 0.106 Li
2.435 1.651 7.368 Li
3.973 4.367 2.603 Li
4.944 2.746 0.052 Li
3.406 3.272 4.817 Li
-0.673 1.441 2.593 Mn
-2.211 4.578 7.359 Mn
2.513 1.351 0.140 Mn
0.975 4.668 4.906 Mn
0.914 1.423 1.353 O
-0.624 4.596 6.119 O
0.215 0.219 3.897 O
-1.322 5.800 8.663 O
0.916 1.426 8.483 O
2.454 4.593 3.718 O
3.440 2.687 1.316 O
1.902 3.332 6.082 O
2.966 1.569 3.758 O
1.428 4.450 8.524 O
-1.441 2.788 8.307 F
0.097 3.231 3.542 F
2.050 0.290 6.151 F
3.588 5.729 1.385 F
```

Main lines, low angle first (5° ≤ 2θ ≤ 70°):
17.43 deg, intensity 100.0; 21.71 deg, intensity 58.8; 23.10 deg, intensity 18.0; 27.33 deg, intensity 48.7; 42.70 deg, intensity 65.9; 44.25 deg, intensity 32.0; 62.56 deg, intensity 17.0; 63.77 deg, intensity 16.6